Starting from a PBE-relaxed structure, the X-ray diffraction stick pattern of PrDy2Al7Ag2 was computed for Cu Ka.
Lines closer than 0.1° are merged.

Atomic structure:
a b c (Å): 9.3990 9.3990 9.3990
angles (deg): 34.64 34.64 34.64
Positions (direct):
Pr  0.0000  0.0000  0.0000
Dy  0.1421  0.1421  0.1421
Dy  0.8579  0.8579  0.8579
Al  0.0761  0.5883  0.5883
Al  0.4117  0.4117  0.9239
Al  0.4117  0.9239  0.4117
Al  0.5000  0.5000  0.5000
Al  0.5883  0.0761  0.5883
Al  0.5883  0.5883  0.0761
Al  0.9239  0.4117  0.4117
Ag  0.3358  0.3358  0.3358
Ag  0.6642  0.6642  0.6642

Top 10 peaks for 2θ = 10–90°, sorted by position:
Position (°2θ)  intensity
18.61  17
20.12  36
22.74  21
29.97  28
31.99  86
32.77  19
38.08  100
61.09  24
62.20  25
66.88  17